Theoretical X-ray powder pattern
Compound: Li3B4C4
Radiation: Cu Ka
Structure: a PBE-relaxed structure

Crystal structure
Unit cell a=7.7429 b=7.7429 c=9.4247 alpha=108.06 beta=108.06 gamma=20.29
Positions (direct):
Li 0.0000 0.0000 0.0000
Li 0.0000 0.0000 0.5000
Li 0.2503 0.2503 0.6444
Li 0.5002 0.5002 0.2490
Li 0.4998 0.4998 0.7510
Li 0.7497 0.7497 0.3556
B 0.1230 0.1230 0.2260
B 0.1226 0.1226 0.7307
B 0.3738 0.3738 0.5201
B 0.3772 0.3772 0.0221
B 0.6228 0.6228 0.9779
B 0.6262 0.6262 0.4799
B 0.8774 0.8774 0.2693
B 0.8770 0.8770 0.7740
C 0.1177 0.1177 0.8930
C 0.1263 0.1263 0.3960
C 0.3773 0.3773 0.3548
C 0.3797 0.3797 0.8567
C 0.6203 0.6203 0.1433
C 0.6227 0.6227 0.6452
C 0.8737 0.8737 0.6040
C 0.8823 0.8823 0.1070

Principal peaks in the range 5° ≤ 2θ ≤ 70°, sorted by position:
| 2θ (°) | I/Imax |
| --- | --- |
| 12.24 | 9 |
| 24.61 | 100 |
| 45.83 | 25 |
| 45.97 | 19 |
| 50.46 | 17 |
| 68.99 | 11 |

***

Theoretical X-ray powder pattern
Compound: YMg9Pd2
Radiation: Cu Ka
Structure: a PBE-relaxed structure

Crystal structure
Unit cell a=9.0766 b=9.0766 c=9.0766 alpha=99.89 beta=99.89 gamma=131.04
Positions (direct):
Y 0.3750 0.6250 0.7500
Y 0.6250 0.3750 0.2500
Mg 0.1250 0.8750 0.2500
Mg 0.1318 0.5636 0.3247
Mg 0.1318 0.8071 0.5682
Mg 0.1929 0.2611 0.3247
Mg 0.1929 0.8682 0.9318
Mg 0.2611 0.1929 0.8247
Mg 0.2611 0.4364 0.0682
Mg 0.4364 0.2611 0.5682
Mg 0.4364 0.8682 0.1753
Mg 0.5636 0.1318 0.8247
Mg 0.5636 0.7389 0.4318
Mg 0.7389 0.5636 0.9318
Mg 0.7389 0.8071 0.1753
Mg 0.8071 0.1318 0.0682
Mg 0.8071 0.7389 0.6753
Mg 0.8682 0.1929 0.4318
Mg 0.8682 0.4364 0.6753
Mg 0.8750 0.1250 0.7500
Pd 0.0000 0.0000 0.0000
Pd 0.0000 0.0000 0.5000
Pd 0.0000 0.5000 0.0000
Pd 0.5000 0.0000 0.5000

Principal peaks in the range 5° ≤ 2θ ≤ 70°, sorted by position:
| 2θ (°) | I/Imax |
| --- | --- |
| 20.70 | 100 |
| 30.03 | 74 |
| 34.02 | 53 |
| 40.42 | 41 |
| 42.12 | 67 |
| 53.57 | 40 |

***

Theoretical X-ray powder pattern
Compound: Ce7InGe2
Radiation: Cu Ka
Structure: a PBE-relaxed structure

Crystal structure
Unit cell a=8.2983 b=8.2983 c=5.4673 alpha=90.00 beta=90.00 gamma=120.31
Positions (direct):
Ce 0.0000 0.0000 0.0000
Ce 0.2156 0.4498 0.0000
Ce 0.2576 0.7424 0.5000
Ce 0.4498 0.2156 0.0000
Ce 0.5502 0.7844 0.0000
Ce 0.7424 0.2576 0.5000
Ce 0.7844 0.5502 0.0000
In 0.5000 0.5000 0.5000
Ge 0.1988 0.8012 0.0000
Ge 0.8012 0.1988 0.0000

Principal peaks in the range 5° ≤ 2θ ≤ 70°, sorted by position:
| 2θ (°) | I/Imax |
| --- | --- |
| 29.72 | 90 |
| 32.76 | 94 |
| 33.01 | 100 |
| 36.93 | 90 |
| 37.09 | 93 |
| 47.19 | 73 |

***

Theoretical X-ray powder pattern
Compound: NdPu2F11
Radiation: Cu Ka
Structure: a PBE-relaxed structure

Crystal structure
Unit cell a=8.7522 b=8.7522 c=8.7522 alpha=122.14 beta=107.43 gamma=99.70
Positions (direct):
Nd 0.2500 0.2500 0.0000
Nd 0.7500 0.7500 0.0000
Pu 0.1799 0.6523 0.8322
Pu 0.3201 0.1523 0.4723
Pu 0.6799 0.8477 0.5277
Pu 0.8201 0.3477 0.1678
F 0.0000 0.5000 0.5000
F 0.0432 0.9481 0.2703
F 0.0661 0.3568 0.1543
F 0.1777 0.4481 0.9049
F 0.2025 0.9119 0.8457
F 0.2141 0.3670 0.5810
F 0.2859 0.8670 0.1529
F 0.2975 0.1432 0.7094
F 0.3223 0.2272 0.2703
F 0.4339 0.5881 0.2906
F 0.4568 0.7272 0.9049
F 0.5000 0.0000 0.5000
F 0.5432 0.2728 0.0951
F 0.5661 0.4119 0.7094
F 0.6777 0.7728 0.7297
F 0.7025 0.8568 0.2906
F 0.7141 0.1330 0.8471
F 0.7859 0.6330 0.4190
F 0.7975 0.0881 0.1543
F 0.8223 0.5519 0.0951
F 0.9339 0.6432 0.8457
F 0.9568 0.0519 0.7297

Principal peaks in the range 5° ≤ 2θ ≤ 70°, sorted by position:
| 2θ (°) | I/Imax |
| --- | --- |
| 15.70 | 55 |
| 20.77 | 81 |
| 21.60 | 76 |
| 23.31 | 73 |
| 24.04 | 100 |
| 44.45 | 56 |

***

Theoretical X-ray powder pattern
Compound: SrSmZrTiO6
Radiation: Cu Ka
Structure: a PBE-relaxed structure

Crystal structure
Unit cell a=5.7322 b=5.7322 c=5.7322 alpha=60.00 beta=60.00 gamma=60.00
Positions (direct):
Sr 0.0000 0.0000 0.0000
Sm 0.5000 0.5000 0.5000
Zr 0.2500 0.2500 0.2500
Ti 0.7500 0.7500 0.7500
O 0.5069 0.5069 0.9931
O 0.5069 0.9931 0.5069
O 0.5069 0.9931 0.9931
O 0.9931 0.5069 0.5069
O 0.9931 0.5069 0.9931
O 0.9931 0.9931 0.5069

Principal peaks in the range 5° ≤ 2θ ≤ 70°, sorted by position:
| 2θ (°) | I/Imax |
| --- | --- |
| 18.96 | 10 |
| 31.21 | 100 |
| 38.47 | 12 |
| 44.72 | 34 |
| 55.54 | 39 |
| 65.09 | 20 |

***

Theoretical X-ray powder pattern
Compound: Ca2BeMoN4
Radiation: Cu Ka
Structure: a PBE-relaxed structure

Crystal structure
Unit cell a=6.5881 b=5.8183 c=5.5690 alpha=90.00 beta=90.00 gamma=90.00
Positions (direct):
Ca 0.2503 0.2448 0.0000
Ca 0.2497 0.7552 0.5000
Ca 0.7497 0.2448 0.0000
Ca 0.7503 0.7552 0.5000
Be 0.0000 0.1939 0.4931
Be 0.5000 0.8061 0.9931
Mo 0.0000 0.8038 0.9932
Mo 0.5000 0.1962 0.4932
N 0.0000 0.0118 0.7392
N 0.0000 0.9960 0.2604
N 0.2475 0.3511 0.4822
N 0.2525 0.6489 0.9822
N 0.5000 0.0040 0.7604
N 0.5000 0.9882 0.2392
N 0.7475 0.6489 0.9822
N 0.7525 0.3511 0.4822

Principal peaks in the range 5° ≤ 2θ ≤ 70°, sorted by position:
| 2θ (°) | I/Imax |
| --- | --- |
| 20.36 | 57 |
| 20.89 | 58 |
| 30.73 | 30 |
| 32.15 | 44 |
| 35.21 | 100 |
| 45.07 | 36 |

***

Theoretical X-ray powder pattern
Compound: TlHgAsPb
Radiation: Cu Ka
Structure: a PBE-relaxed structure

Crystal structure
Unit cell a=4.2883 b=4.2883 c=8.8605 alpha=90.05 beta=90.05 gamma=60.01
Positions (direct):
Tl 0.0000 0.0000 0.0000
Hg 0.3331 0.3331 0.2634
As 0.6662 0.6662 0.7952
Pb 0.3326 0.3326 0.6309

Principal peaks in the range 5° ≤ 2θ ≤ 70°, sorted by position:
| 2θ (°) | I/Imax |
| --- | --- |
| 23.96 | 46 |
| 26.01 | 100 |
| 31.43 | 98 |
| 38.96 | 63 |
| 42.14 | 62 |
| 52.76 | 28 |

***

Theoretical X-ray powder pattern
Compound: Tb8NdSc3
Radiation: Cu Ka
Structure: a PBE-relaxed structure

Crystal structure
Unit cell a=6.6083 b=7.1196 c=9.0436 alpha=113.14 beta=95.60 gamma=105.51
Positions (direct):
Tb 0.0000 0.0000 0.0000
Tb 0.0035 0.5059 0.0023
Tb 0.1134 0.3344 0.6109
Tb 0.3182 0.5013 0.3341
Tb 0.4416 0.3365 0.9465
Tb 0.6649 0.5031 0.6673
Tb 0.7627 0.3311 0.2780
Tb 0.7745 0.8336 0.2784
Nd 0.6541 0.9974 0.6668
Sc 0.1082 0.8334 0.6116
Sc 0.3270 0.9995 0.3323
Sc 0.4333 0.8323 0.9454

Principal peaks in the range 5° ≤ 2θ ≤ 70°, sorted by position:
| 2θ (°) | I/Imax |
| --- | --- |
| 28.97 | 24 |
| 32.11 | 24 |
| 33.21 | 100 |
| 51.32 | 13 |
| 57.94 | 20 |
| 61.83 | 18 |

***

Theoretical X-ray powder pattern
Compound: Li3CePt3
Radiation: Cu Ka
Structure: a PBE-relaxed structure

Crystal structure
Unit cell a=7.6802 b=7.6802 c=7.6802 alpha=90.00 beta=90.00 gamma=90.00
Positions (direct):
Li 0.1384 0.3616 0.6384
Li 0.1462 0.1462 0.1462
Li 0.1930 0.8070 0.3070
Li 0.3070 0.1930 0.8070
Li 0.3538 0.8538 0.6462
Li 0.3616 0.6384 0.1384
Li 0.6384 0.1384 0.3616
Li 0.6462 0.3538 0.8538
Li 0.6930 0.6930 0.6930
Li 0.8070 0.3070 0.1930
Li 0.8538 0.6462 0.3538
Li 0.8616 0.8616 0.8616
Ce 0.0276 0.5276 0.9724
Ce 0.4724 0.4724 0.4724
Ce 0.5276 0.9724 0.0276
Ce 0.9724 0.0276 0.5276
Pt 0.0563 0.6783 0.6271
Pt 0.1271 0.4437 0.3217
Pt 0.1783 0.8729 0.9437
Pt 0.3217 0.1271 0.4437
Pt 0.3729 0.5563 0.8217
Pt 0.4437 0.3217 0.1271
Pt 0.5563 0.8217 0.3729
Pt 0.6271 0.0563 0.6783
Pt 0.6783 0.6271 0.0563
Pt 0.8217 0.3729 0.5563
Pt 0.8729 0.9437 0.1783
Pt 0.9437 0.1783 0.8729

Principal peaks in the range 5° ≤ 2θ ≤ 70°, sorted by position:
| 2θ (°) | I/Imax |
| --- | --- |
| 25.94 | 36 |
| 28.47 | 100 |
| 37.01 | 64 |
| 38.89 | 96 |
| 42.44 | 65 |
| 48.90 | 44 |

***

Theoretical X-ray powder pattern
Compound: La8Ru3PtBr4
Radiation: Cu Ka
Structure: a PBE-relaxed structure

Crystal structure
Unit cell a=9.2813 b=9.2813 c=9.2813 alpha=53.57 beta=53.57 gamma=53.57
Positions (direct):
La 0.2209 0.7374 0.7374
La 0.2329 0.2329 0.2329
La 0.2626 0.2626 0.7791
La 0.2626 0.7791 0.2626
La 0.7374 0.2209 0.7374
La 0.7374 0.7374 0.2209
La 0.7671 0.7671 0.7671
La 0.7791 0.2626 0.2626
Ru 0.0000 0.0000 0.5000
Ru 0.0000 0.5000 0.0000
Ru 0.5000 0.0000 0.0000
Pt 0.5000 0.5000 0.5000
Br 0.0000 0.0000 0.0000
Br 0.0000 0.5000 0.5000
Br 0.5000 0.0000 0.5000
Br 0.5000 0.5000 0.0000

Principal peaks in the range 5° ≤ 2θ ≤ 70°, sorted by position:
| 2θ (°) | I/Imax |
| --- | --- |
| 11.16 | 26 |
| 28.87 | 100 |
| 36.26 | 15 |
| 39.21 | 30 |
| 43.27 | 37 |
| 52.85 | 18 |